Li4NbCr5O12: simulated powder diffractogram (Cu Kα X-rays), based on the PBE+U geometry in Alexandria.
Neutral-atom scattering factors, no anomalous dispersion.

Top 8 peaks for 2θ from 10° to 90°, by angle:
| Position (°2θ) | I_rel | index |
| --- | --- | --- |
| 17.1 | 1000 | 0 0 2 |
| 34.6 | 108 | 2 0 0 |
| 34.8 | 126 | 1 3 -1 |
| 36.0 | 171 | 1 3 1 |
| 41.8 | 175 | 1 3 -3 |
| 44.9 | 144 | 1 3 3 |
| 54.5 | 91 | 1 3 -5 |
| 61.3 | 147 | 0 6 0 |

```
data_Li4NbCr5O12
_chemical_formula_sum 'Li8 Nb2 Cr10 O24'
_symmetry_space_group_name_H-M 'C 1 2/m 1'
_symmetry_Int_Tables_number 12
_cell_length_a 5.2344
_cell_length_b 9.0759
_cell_length_c 10.4766
_cell_angle_alpha 90.00
_cell_angle_beta 98.10
_cell_angle_gamma 90.00
loop_
_symmetry_equiv_pos_as_xyz
'x,y,z'
'-x,-y,-z'
'-x,y,-z'
'x,-y,z'
'x+1/2,y+1/2,z'
'-x+1/2,-y+1/2,-z'
'-x+1/2,y+1/2,-z'
'x+1/2,-y+1/2,z'
loop_
_atom_site_label
_atom_site_type_symbol
_atom_site_fract_x
_atom_site_fract_y
_atom_site_fract_z
Li1 Li 0.2243 0.1689 0.2080
Nb1 Nb 0.0000 0.5000 0.5000
Cr1 Cr 0.0000 0.0000 0.0000
Cr2 Cr 0.0000 0.1656 0.5000
Cr3 Cr 0.0000 0.3368 0.0000
O1 O 0.1316 0.1725 0.8969
O2 O 0.1485 0.5000 0.8960
O3 O 0.1946 0.3333 0.6007
O4 O 0.1956 0.0000 0.5960
```